# 1
Starting from a cell relaxed with PBE+U, the powder diffractogram of Li4MnO2F3 was simulated for Cu Kα, 1.54184 Å.
Peak positions follow from Bragg's law for the DFT cell and can differ from measured ones.

```
data_Li4MnO2F3
_space_group_name_H-M_alt 'P -1'
_space_group_IT_number 2
_space_group_name_Hall '-P 1'
_cell_length_a 5.112
_cell_length_b 5.259
_cell_length_c 7.685
_cell_angle_alpha 109.57
_cell_angle_beta 103.65
_cell_angle_gamma 97.34
loop_
_atom_site_label
_atom_site_type_symbol
_atom_site_fract_x
_atom_site_fract_y
_atom_site_fract_z
Li1 Li 0.000 0.000 0.000
Li2 Li 0.003 0.235 0.409
Li3 Li 0.489 0.206 0.910
Li4 Li 0.495 0.391 0.318
Li5 Li 0.500 0.000 0.500
Mn1 Mn 0.019 0.596 0.200
O1 O 0.226 0.406 0.040
O2 O 0.241 0.606 0.433
F1 F 0.235 0.210 0.659
F2 F 0.257 0.013 0.252
F3 F 0.262 0.814 0.850
```

Top 10 peaks for 2θ = 10–90°, sorted by position:
hkl 0 1 -1, 17.99°, intensity 40; hkl 1 0 0, 18.35°, intensity 100; hkl 1 -1 0, 22.89°, intensity 32; hkl 1 -1 1, 25.56°, intensity 19; hkl 0 0 2, 25.78°, intensity 22; hkl 1 1 -1, 26.03°, intensity 20; hkl 1 2 -1, 41.45°, intensity 72; hkl -2 1 2, 43.68°, intensity 58; hkl 1 -1 3, 44.39°, intensity 56; hkl 2 1 2, 62.50°, intensity 19

=====

# 2
Starting from a cell relaxed with PBE+U, the powder diffractogram of Li4MnOF5 was simulated for Cu Kα, 1.54184 Å.
Peak positions follow from Bragg's law for the DFT cell and can differ from measured ones.

```
data_Li4MnOF5
_space_group_name_H-M_alt 'C 1 m 1'
_space_group_IT_number 8
_space_group_name_Hall 'C -2y'
_cell_length_a 5.886
_cell_length_b 10.282
_cell_length_c 12.900
_cell_angle_alpha 90.00
_cell_angle_beta 90.12
_cell_angle_gamma 90.00
loop_
_atom_site_label
_atom_site_type_symbol
_atom_site_fract_x
_atom_site_fract_y
_atom_site_fract_z
Li1 Li 0.000 0.000 0.000
Li2 Li 0.003 0.336 0.618
Li3 Li 0.006 0.339 0.314
Li4 Li 0.148 0.500 0.156
Li5 Li 0.166 0.166 0.455
Li6 Li 0.173 0.175 0.156
Li7 Li 0.489 0.500 0.316
Li8 Li 0.494 0.500 0.621
Mn1 Mn 0.163 0.500 0.810
Mn2 Mn 0.165 0.167 0.810
O1 O 0.005 0.000 0.792
O2 O 0.005 0.333 0.800
F1 F 0.001 0.000 0.142
F2 F 0.049 0.000 0.482
F3 F 0.152 0.153 0.953
F4 F 0.159 0.500 0.656
F5 F 0.163 0.164 0.310
F6 F 0.170 0.500 0.307
F7 F 0.171 0.171 0.657
F8 F 0.193 0.500 0.953
F9 F 0.476 0.191 0.478
F10 F 0.498 0.167 0.157
```

Top 10 peaks for 2θ = 10–90°, sorted by position:
hkl 0 0 2, 13.73°, intensity 100; hkl 0 0 3, 20.66°, intensity 28; hkl 1 3 0, 30.17°, intensity 88; hkl 2 0 0, 30.37°, intensity 46; hkl 1 3 1, 30.98°, intensity 47; hkl 2 0 -1, 31.17°, intensity 24; hkl 1 3 2, 33.29°, intensity 46; hkl 0 0 6, 42.02°, intensity 44; hkl 1 3 -6, 52.61°, intensity 32; hkl 3 3 0, 53.84°, intensity 42

=====

# 3
Starting from a cell relaxed with PBE+U, the powder diffractogram of Li4Mn3O2F6 was simulated for Cu Kα, 1.54184 Å.
Peak positions follow from Bragg's law for the DFT cell and can differ from measured ones.

```
data_Li4Mn3O2F6
_space_group_name_H-M_alt 'P 1'
_space_group_IT_number 1
_space_group_name_Hall 'P 1'
_cell_length_a 6.193
_cell_length_b 6.949
_cell_length_c 8.342
_cell_angle_alpha 89.90
_cell_angle_beta 74.69
_cell_angle_gamma 77.27
loop_
_atom_site_label
_atom_site_type_symbol
_atom_site_fract_x
_atom_site_fract_y
_atom_site_fract_z
Li1 Li 0.000 0.000 0.000
Li2 Li 0.000 0.500 0.500
Li3 Li 0.218 0.258 0.750
Li4 Li 0.218 0.758 0.250
Li5 Li 0.472 0.007 0.953
Li6 Li 0.472 0.507 0.453
Li7 Li 0.690 0.265 0.703
Li8 Li 0.690 0.765 0.203
Mn1 Mn 0.107 0.387 0.114
Mn2 Mn 0.108 0.887 0.614
Mn3 Mn 0.345 0.133 0.351
Mn4 Mn 0.345 0.633 0.851
Mn5 Mn 0.583 0.377 0.088
Mn6 Mn 0.584 0.877 0.589
O1 O 0.284 0.425 0.294
O2 O 0.285 0.925 0.794
O3 O 0.406 0.341 0.909
O4 O 0.406 0.841 0.409
F1 F 0.031 0.714 0.076
F2 F 0.032 0.214 0.576
F3 F 0.175 0.064 0.157
F4 F 0.175 0.564 0.657
F5 F 0.516 0.200 0.548
F6 F 0.516 0.700 0.048
F7 F 0.659 0.050 0.126
F8 F 0.659 0.549 0.626
F9 F 0.757 0.474 0.263
F10 F 0.758 0.974 0.763
F11 F 0.933 0.291 0.940
F12 F 0.933 0.791 0.440
```

Top 10 peaks for 2θ = 10–90°, sorted by position:
hkl 1 0 0, 15.24°, intensity 38; hkl 0 1 1, 17.64°, intensity 100; hkl 1 1 1, 19.03°, intensity 26; hkl 1 1 -1, 22.62°, intensity 24; hkl 0 2 -2, 33.60°, intensity 27; hkl 2 1 -1, 35.15°, intensity 29; hkl 2 1 3, 39.66°, intensity 64; hkl 0 3 -1, 40.91°, intensity 66; hkl 2 0 -2, 43.06°, intensity 58; hkl 4 1 1, 59.97°, intensity 30

=====

# 4
Starting from a cell relaxed with PBE+U, the powder diffractogram of Li3Mn5OF11 was simulated for Cu Kα, 1.54184 Å.
Peak positions follow from Bragg's law for the DFT cell and can differ from measured ones.

```
data_Li3Mn5OF11
_space_group_name_H-M_alt 'P 1'
_space_group_IT_number 1
_space_group_name_Hall 'P 1'
_cell_length_a 5.364
_cell_length_b 5.766
_cell_length_c 9.420
_cell_angle_alpha 73.43
_cell_angle_beta 89.14
_cell_angle_gamma 63.14
loop_
_atom_site_label
_atom_site_type_symbol
_atom_site_fract_x
_atom_site_fract_y
_atom_site_fract_z
Li1 Li 0.000 0.000 0.000
Li2 Li 0.211 0.273 0.719
Li3 Li 0.747 0.725 0.241
Mn1 Mn 0.075 0.176 0.348
Mn2 Mn 0.309 0.454 0.088
Mn3 Mn 0.536 0.465 0.499
Mn4 Mn 0.570 0.727 0.858
Mn5 Mn 0.851 0.962 0.603
O1 O 0.953 0.214 0.542
F1 F 0.004 0.844 0.190
F2 F 0.018 0.541 0.888
F3 F 0.080 0.290 0.149
F4 F 0.092 0.600 0.451
F5 F 0.119 0.958 0.812
F6 F 0.479 0.708 0.054
F7 F 0.497 0.383 0.707
F8 F 0.521 0.035 0.390
F9 F 0.577 0.823 0.650
F10 F 0.594 0.108 0.960
F11 F 0.608 0.467 0.289
```

Top 10 peaks for 2θ = 10–90°, sorted by position:
hkl 0 1 1, 17.76°, intensity 100; hkl 1 0 1, 22.36°, intensity 68; hkl 1 1 2, 25.19°, intensity 54; hkl 1 1 -2, 29.90°, intensity 31; hkl 1 2 1, 31.18°, intensity 50; hkl 1 -1 0, 31.85°, intensity 45; hkl 0 2 2, 35.96°, intensity 47; hkl 1 2 -1, 36.62°, intensity 31; hkl 0 1 5, 48.40°, intensity 51; hkl 3 2 1, 52.45°, intensity 39

=====

# 5
Starting from a cell relaxed with PBE+U, the powder diffractogram of Li3MnOF4 was simulated for Cu Kα, 1.54184 Å.
Peak positions follow from Bragg's law for the DFT cell and can differ from measured ones.

```
data_Li3MnOF4
_space_group_name_H-M_alt 'C 1 m 1'
_space_group_IT_number 8
_space_group_name_Hall 'C -2y'
_cell_length_a 10.342
_cell_length_b 3.734
_cell_length_c 7.263
_cell_angle_alpha 90.00
_cell_angle_beta 134.61
_cell_angle_gamma 90.00
loop_
_atom_site_label
_atom_site_type_symbol
_atom_site_fract_x
_atom_site_fract_y
_atom_site_fract_z
Li1 Li 0.000 0.000 0.000
Li2 Li 0.132 0.500 0.573
Li3 Li 0.282 0.000 0.967
Mn1 Mn 0.309 0.500 0.327
O1 O 0.295 0.000 0.257
F1 F 0.042 0.500 0.109
F2 F 0.075 0.000 0.553
F3 F 0.281 0.500 0.953
F4 F 0.347 0.500 0.642
```

Top 10 peaks for 2θ = 10–90°, sorted by position:
hkl 0 0 1, 17.15°, intensity 77; hkl 2 0 0, 24.18°, intensity 35; hkl 2 0 -2, 24.51°, intensity 49; hkl 1 1 0, 26.80°, intensity 100; hkl 4 0 -1, 38.73°, intensity 29; hkl 2 0 -3, 39.17°, intensity 42; hkl 3 1 -3, 44.61°, intensity 21; hkl 0 2 0, 48.77°, intensity 26; hkl 4 0 0, 49.52°, intensity 16; hkl 6 0 -3, 53.14°, intensity 18

=====

# 6
Starting from a cell relaxed with PBE+U, the powder diffractogram of LiMn2O3F was simulated for Cu Kα, 1.54184 Å.
Peak positions follow from Bragg's law for the DFT cell and can differ from measured ones.

```
data_LiMn2O3F
_space_group_name_H-M_alt 'P n a 21'
_space_group_IT_number 33
_space_group_name_Hall 'P 2c -2n'
_cell_length_a 10.383
_cell_length_b 4.938
_cell_length_c 5.796
_cell_angle_alpha 90.00
_cell_angle_beta 90.00
_cell_angle_gamma 90.00
loop_
_atom_site_label
_atom_site_type_symbol
_atom_site_fract_x
_atom_site_fract_y
_atom_site_fract_z
Li1 Li 0.088 0.031 0.000
Mn1 Mn 0.010 0.481 0.252
Mn2 Mn 0.232 0.959 0.489
O1 O 0.070 0.737 0.495
O2 O 0.097 0.657 0.998
O3 O 0.177 0.222 0.240
F1 F 0.155 0.217 0.744
```

Top 10 peaks for 2θ = 10–90°, sorted by position:
hkl 1 1 0, 19.91°, intensity 74; hkl 1 1 1, 25.20°, intensity 100; hkl 3 1 0, 31.57°, intensity 54; hkl 3 1 1, 35.25°, intensity 33; hkl 2 0 2, 35.47°, intensity 35; hkl 1 1 2, 36.99°, intensity 32; hkl 2 1 2, 40.04°, intensity 30; hkl 4 2 0, 51.05°, intensity 28; hkl 2 2 2, 51.73°, intensity 61; hkl 6 0 2, 62.51°, intensity 27

=====

# 7
Starting from a cell relaxed with PBE+U, the powder diffractogram of Li6Mn2O5F2 was simulated for Cu Kα, 1.54184 Å.
Peak positions follow from Bragg's law for the DFT cell and can differ from measured ones.

```
data_Li6Mn2O5F2
_space_group_name_H-M_alt 'P 1'
_space_group_IT_number 1
_space_group_name_Hall 'P 1'
_cell_length_a 5.830
_cell_length_b 5.840
_cell_length_c 9.856
_cell_angle_alpha 92.72
_cell_angle_beta 97.59
_cell_angle_gamma 117.97
loop_
_atom_site_label
_atom_site_type_symbol
_atom_site_fract_x
_atom_site_fract_y
_atom_site_fract_z
Li1 Li 0.000 0.000 0.000
Li2 Li 0.001 0.731 0.512
Li3 Li 0.169 0.576 0.731
Li4 Li 0.178 0.334 0.226
Li5 Li 0.435 0.723 0.524
Li6 Li 0.445 0.180 0.511
Li7 Li 0.462 0.983 0.011
Li8 Li 0.481 0.488 0.019
Li9 Li 0.713 0.565 0.719
Li10 Li 0.722 0.135 0.729
Li11 Li 0.737 0.343 0.226
Li12 Li 0.740 0.890 0.222
Mn1 Mn 0.207 0.089 0.754
Mn2 Mn 0.237 0.864 0.252
Mn3 Mn 0.944 0.201 0.488
Mn4 Mn 0.992 0.488 0.994
O1 O 0.084 0.025 0.367
O2 O 0.088 0.293 0.865
O3 O 0.103 0.804 0.875
O4 O 0.281 0.353 0.618
O5 O 0.339 0.914 0.647
O6 O 0.361 0.690 0.131
O7 O 0.591 0.033 0.366
O8 O 0.828 0.393 0.594
O9 O 0.844 0.183 0.091
O10 O 0.893 0.681 0.126
F1 F 0.110 0.534 0.372
F2 F 0.373 0.208 0.129
F3 F 0.601 0.353 0.867
F4 F 0.789 0.858 0.618
```

Top 10 peaks for 2θ = 10–90°, sorted by position:
hkl 1 0 0, 17.49°, intensity 100; hkl 0 1 -1, 18.57°, intensity 67; hkl -1 1 1, 19.58°, intensity 67; hkl 0 1 -2, 23.65°, intensity 39; hkl -1 1 2, 24.95°, intensity 35; hkl 1 0 2, 27.60°, intensity 45; hkl 0 2 -3, 42.22°, intensity 71; hkl 2 0 2, 43.07°, intensity 65; hkl -2 2 3, 44.73°, intensity 65; hkl 2 -4 0, 63.80°, intensity 30

=====

# 8
Starting from a cell relaxed with PBE+U, the powder diffractogram of LiMn6O4F8 was simulated for Cu Kα, 1.54184 Å.
Peak positions follow from Bragg's law for the DFT cell and can differ from measured ones.

```
data_LiMn6O4F8
_space_group_name_H-M_alt 'P 1'
_space_group_IT_number 1
_space_group_name_Hall 'P 1'
_cell_length_a 4.973
_cell_length_b 5.783
_cell_length_c 8.067
_cell_angle_alpha 86.38
_cell_angle_beta 87.68
_cell_angle_gamma 86.86
loop_
_atom_site_label
_atom_site_type_symbol
_atom_site_fract_x
_atom_site_fract_y
_atom_site_fract_z
Li1 Li 0.000 0.000 0.000
Mn1 Mn 0.001 0.339 0.220
Mn2 Mn 0.004 0.979 0.536
Mn3 Mn 0.132 0.606 0.852
Mn4 Mn 0.480 0.133 0.872
Mn5 Mn 0.509 0.810 0.191
Mn6 Mn 0.519 0.478 0.533
O1 O 0.182 0.297 0.977
O2 O 0.217 0.687 0.617
O3 O 0.342 0.846 0.958
O4 O 0.818 0.281 0.450
F1 F 0.183 0.003 0.295
F2 F 0.313 0.180 0.625
F3 F 0.348 0.500 0.299
F4 F 0.646 0.429 0.779
F5 F 0.701 0.128 0.111
F6 F 0.708 0.776 0.429
F7 F 0.825 0.963 0.786
F8 F 0.872 0.656 0.088
```

Top 10 peaks for 2θ = 10–90°, sorted by position:
hkl 1 1 1, 24.87°, intensity 100; hkl -1 1 1, 26.60°, intensity 73; hkl 1 -1 2, 33.26°, intensity 40; hkl 0 0 3, 33.41°, intensity 30; hkl 0 2 -1, 33.67°, intensity 29; hkl 1 1 4, 49.63°, intensity 22; hkl 1 3 0, 50.00°, intensity 22; hkl 2 2 2, 51.02°, intensity 17; hkl 0 2 -4, 57.45°, intensity 19; hkl 3 -1 2, 63.26°, intensity 17

=====

# 9
Starting from a cell relaxed with PBE+U, the powder diffractogram of Li7MnO3F3 was simulated for Cu Kα, 1.54184 Å.
Peak positions follow from Bragg's law for the DFT cell and can differ from measured ones.

```
data_Li7MnO3F3
_space_group_name_H-M_alt 'P 1'
_space_group_IT_number 1
_space_group_name_Hall 'P 1'
_cell_length_a 5.477
_cell_length_b 6.071
_cell_length_c 10.137
_cell_angle_alpha 105.91
_cell_angle_beta 91.31
_cell_angle_gamma 111.43
loop_
_atom_site_label
_atom_site_type_symbol
_atom_site_fract_x
_atom_site_fract_y
_atom_site_fract_z
Li1 Li 0.000 0.000 0.000
Li2 Li 0.002 0.432 0.895
Li3 Li 0.043 0.636 0.379
Li4 Li 0.045 0.307 0.675
Li5 Li 0.475 0.276 0.064
Li6 Li 0.485 0.139 0.843
Li7 Li 0.488 0.914 0.374
Li8 Li 0.502 0.521 0.502
Li9 Li 0.510 0.581 0.723
Li10 Li 0.521 0.851 0.169
Li11 Li 0.564 0.405 0.305
Li12 Li 0.929 0.159 0.454
Li13 Li 0.954 0.723 0.581
Li14 Li 0.982 0.042 0.230
Mn1 Mn 0.028 0.475 0.165
Mn2 Mn 0.537 0.081 0.603
O1 O 0.143 0.284 0.077
O2 O 0.325 0.606 0.312
O3 O 0.346 0.257 0.655
O4 O 0.663 0.838 0.561
O5 O 0.705 0.176 0.245
O6 O 0.804 0.406 0.495
F1 F 0.155 0.954 0.413
F2 F 0.175 0.607 0.737
F3 F 0.320 0.946 0.002
F4 F 0.666 0.449 0.907
F5 F 0.821 0.113 0.824
F6 F 0.823 0.745 0.171
```

Top 10 peaks for 2θ = 10–90°, sorted by position:
hkl 0 1 -1, 16.23°, intensity 62; hkl 0 0 2, 18.38°, intensity 39; hkl 1 0 -1, 18.68°, intensity 43; hkl 1 -1 0, 18.88°, intensity 49; hkl 0 1 -2, 20.65°, intensity 25; hkl 1 0 1, 20.94°, intensity 41; hkl 1 1 -2, 29.68°, intensity 100; hkl 1 0 3, 35.06°, intensity 62; hkl 0 1 -5, 44.79°, intensity 32; hkl -2 2 2, 45.17°, intensity 23